Simulated powder X-ray diffraction pattern
Compound: Mg5Cd
Radiation: Cu Ka
Structure: DFT lattice parameters and positions (PBE)
Lines closer than 0.1° are merged.

Cell and atoms:
```
data_Mg5Cd
_chemical_formula_sum 'Mg10 Cd2'
_symmetry_space_group_name_H-M 'A m m 2'
_symmetry_Int_Tables_number 38
_symmetry_space_group_name_Hall 'A 2 -2'
_cell_length_a 5.1134
_cell_length_b 3.2105
_cell_length_c 16.4036
_cell_angle_alpha 90.00
_cell_angle_beta 90.00
_cell_angle_gamma 90.00
loop_
_atom_site_label
_atom_site_fract_x
_atom_site_fract_y
_atom_site_fract_z
Mg1 0.0000 0.0000 0.0000
Mg2 0.0000 0.0000 0.3312
Mg3 0.5000 0.0000 0.1109
Mg4 0.5000 0.0000 0.4432
Mg5 0.5000 0.0000 0.7768
Cd1 0.0000 0.0000 0.6662
```

The 10 most intense peaks (10° ≤ 2θ ≤ 80°), in order of rising 2θ:
(0 0 2), 10.79 deg, I 72
(1 0 0), 17.34 deg, I 26
(1 0 2), 20.47 deg, I 35
(0 1 3), 32.34 deg, I 30
(1 1 1), 33.40 deg, I 21
(2 0 0), 35.10 deg, I 34
(1 1 3), 36.91 deg, I 100
(1 0 6), 37.30 deg, I 45
(2 1 3), 48.46 deg, I 18
(3 1 3), 64.16 deg, I 17



Simulated powder X-ray diffraction pattern
Compound: ThGeS
Radiation: Cu Ka
Structure: DFT lattice parameters and positions (PBE)
Lines closer than 0.1° are merged.

Cell and atoms:
```
data_ThGeS
_chemical_formula_sum 'Th4 Ge4 S4'
_symmetry_space_group_name_H-M 'I 4/m m m'
_symmetry_Int_Tables_number 139
_symmetry_space_group_name_Hall '-I 4 2'
_cell_length_a 3.9686
_cell_length_b 3.9686
_cell_length_c 17.1670
_cell_angle_alpha 90.00
_cell_angle_beta 90.00
_cell_angle_gamma 90.00
loop_
_atom_site_label
_atom_site_fract_x
_atom_site_fract_y
_atom_site_fract_z
Th1 0.0000 0.0000 0.1404
Ge1 0.0000 0.5000 0.0000
S1 0.0000 0.0000 0.3130
```

The 10 most intense peaks (10° ≤ 2θ ≤ 80°), in order of rising 2θ:
(1 0 1), 23.00 deg, I 75
(1 0 3), 27.35 deg, I 81
(0 0 6), 31.26 deg, I 27
(1 1 0), 31.89 deg, I 33
(1 1 2), 33.60 deg, I 36
(1 1 4), 38.32 deg, I 100
(1 0 7), 43.37 deg, I 49
(2 0 0), 45.72 deg, I 42
(2 1 3), 54.10 deg, I 27
(2 1 7), 64.85 deg, I 30



Simulated powder X-ray diffraction pattern
Compound: K2MgP2Se6
Radiation: Cu Ka
Structure: DFT lattice parameters and positions (PBE)
Lines closer than 0.1° are merged.

Cell and atoms:
```
data_K2MgP2Se6
_chemical_formula_sum 'K4 Mg2 P4 Se12'
_symmetry_space_group_name_H-M 'P 1 21/c 1'
_symmetry_Int_Tables_number 14
_symmetry_space_group_name_Hall '-P 2ybc'
_cell_length_a 6.5810
_cell_length_b 13.0411
_cell_length_c 9.0904
_cell_angle_alpha 90.00
_cell_angle_beta 121.75
_cell_angle_gamma 90.00
loop_
_atom_site_label
_atom_site_fract_x
_atom_site_fract_y
_atom_site_fract_z
K1 0.1549 0.1964 0.4463
Mg1 0.5000 0.0000 0.0000
P1 0.1470 0.5244 0.6356
Se1 0.0466 0.0466 0.7296
Se2 0.3135 0.6616 0.6001
Se3 0.4125 0.1009 0.2332
```

The 10 most intense peaks (10° ≤ 2θ ≤ 80°), in order of rising 2θ:
(0 1 1), 13.31 deg, I 50
(0 2 0), 13.58 deg, I 38
(1 1 1), 25.01 deg, I 35
(0 2 2), 26.81 deg, I 44
(1 2 1), 27.71 deg, I 84
(2 0 -2), 27.84 deg, I 42
(1 4 -1), 30.77 deg, I 100
(1 4 0), 31.76 deg, I 49
(1 2 -3), 32.68 deg, I 38
(2 1 -3), 33.31 deg, I 36



Simulated powder X-ray diffraction pattern
Compound: Pr3CrS6
Radiation: Cu Ka
Structure: DFT lattice parameters and positions (PBE)
Lines closer than 0.1° are merged.

Cell and atoms:
```
data_Pr3CrS6
_chemical_formula_sum 'Pr12 Cr4 S24'
_symmetry_space_group_name_H-M 'P n n m'
_symmetry_Int_Tables_number 58
_symmetry_space_group_name_Hall '-P 2 2n'
_cell_length_a 13.7512
_cell_length_b 16.3635
_cell_length_c 3.9335
_cell_angle_alpha 90.00
_cell_angle_beta 90.00
_cell_angle_gamma 90.00
loop_
_atom_site_label
_atom_site_fract_x
_atom_site_fract_y
_atom_site_fract_z
Pr1 0.0505 0.2179 0.0000
Pr2 0.1805 0.6477 0.0000
Pr3 0.2422 0.9038 0.5000
Cr1 0.0000 0.0000 0.5000
Cr2 0.0000 0.5000 0.5000
S1 0.0239 0.4057 0.0000
S2 0.0792 0.9300 0.0000
S3 0.1036 0.7557 0.5000
S4 0.1217 0.1020 0.5000
S5 0.1751 0.5195 0.5000
S6 0.1865 0.2893 0.5000
```

The 10 most intense peaks (10° ≤ 2θ ≤ 80°), in order of rising 2θ:
(2 4 0), 25.34 deg, I 76
(4 0 0), 25.95 deg, I 44
(4 1 0), 26.49 deg, I 34
(2 1 1), 26.67 deg, I 36
(2 3 1), 30.90 deg, I 31
(3 3 1), 34.23 deg, I 100
(0 5 1), 35.69 deg, I 47
(5 1 1), 40.40 deg, I 45
(3 6 1), 45.05 deg, I 29
(0 0 2), 46.15 deg, I 37



Simulated powder X-ray diffraction pattern
Compound: Na3AlSi2GeSO12
Radiation: Cu Ka
Structure: DFT lattice parameters and positions (PBE)
Lines closer than 0.1° are merged.

Cell and atoms:
```
data_Na3AlSi2GeSO12
_chemical_formula_sum 'Na12 Al4 Si8 Ge4 S4 O48'
_symmetry_space_group_name_H-M 'C 1 c 1'
_symmetry_Int_Tables_number 9
_symmetry_space_group_name_Hall 'C -2yc'
_cell_length_a 15.0182
_cell_length_b 8.7890
_cell_length_c 8.9044
_cell_angle_alpha 90.00
_cell_angle_beta 125.67
_cell_angle_gamma 90.00
loop_
_atom_site_label
_atom_site_fract_x
_atom_site_fract_y
_atom_site_fract_z
Na1 0.0000 0.0667 0.0000
Na2 0.3673 0.0695 0.0073
Na3 0.4314 0.2583 0.7566
Al1 0.2923 0.2537 0.3244
Si1 0.1950 0.0444 0.5203
Si2 0.3328 0.3978 0.0217
Ge1 0.0922 0.2247 0.7047
S1 0.0468 0.3979 0.0134
O1 0.0392 0.4364 0.5314
O2 0.0411 0.3749 0.8420
O3 0.1038 0.0572 0.8322
O4 0.1040 0.1463 0.5264
O5 0.1433 0.3238 0.1759
O6 0.2277 0.3070 0.8371
O7 0.2686 0.0677 0.1961
O8 0.2731 0.1456 0.4891
O9 0.3368 0.3624 0.2026
O10 0.3423 0.4220 0.4943
O11 0.4385 0.3060 0.0356
O12 0.4530 0.1757 0.5020
```

The 10 most intense peaks (10° ≤ 2θ ≤ 80°), in order of rising 2θ:
(1 1 -1), 14.16 deg, I 76
(2 0 -2), 19.94 deg, I 58
(1 1 1), 20.24 deg, I 67
(3 1 -1), 20.42 deg, I 51
(0 2 1), 23.67 deg, I 100
(5 1 -2), 31.68 deg, I 61
(3 1 -3), 31.82 deg, I 67
(0 2 2), 32.05 deg, I 75
(3 1 1), 32.55 deg, I 66
(3 3 -1), 35.51 deg, I 62